Record 1
Diffraction record for Pm3NdY2Se6. The X-ray diffraction stick pattern is calculated, not measured: it uses a structure optimized by DFT (PBE) and copper Kα.
Intensities are scaled so that the largest is 100.

Main lines, in order of rising 2θ (2θ from 15° to 90°):
- 2θ = 26.2°, intensity 8
- 2θ = 30.3°, intensity 100
- 2θ = 43.4°, intensity 49
- 2θ = 43.6°, intensity 24
- 2θ = 53.9°, intensity 13
- 2θ = 63.1°, intensity 8
- 2θ = 71.6°, intensity 16
- 2θ = 71.8°, intensity 11
- 2θ = 79.6°, intensity 10
- 2θ = 79.8°, intensity 8

Cell and atoms:
a b c (Å): 7.2151 7.2151 7.2292
angles (deg): 99.54 99.54 120.23
Fractional positions:
Pm1 0.0000 0.0000 0.0000
Pm2 0.3390 0.6610 0.0000
Pm3 0.6610 0.3390 0.0000
Nd1 0.5000 0.5000 0.5000
Y1 0.1661 0.8339 0.5000
Y2 0.8339 0.1661 0.5000
Se1 0.0761 0.4184 0.2543
Se2 0.2385 0.2385 0.7411
Se3 0.4184 0.0761 0.2543
Se4 0.5816 0.9239 0.7457
Se5 0.7615 0.7615 0.2589
Se6 0.9239 0.5816 0.7457

=====

Record 2
Diffraction record for Na2TiAg. The X-ray diffraction stick pattern is calculated, not measured: it uses a structure optimized by DFT (PBE) and copper Kα.
Intensities are scaled so that the largest is 100.

Main lines, in order of rising 2θ (2θ from 15° to 90°):
- 2θ = 21.4°, intensity 22
- 2θ = 24.7°, intensity 36
- 2θ = 35.2°, intensity 100
- 2θ = 41.6°, intensity 12
- 2θ = 43.5°, intensity 10
- 2θ = 50.7°, intensity 17
- 2θ = 57.2°, intensity 13
- 2θ = 63.2°, intensity 32
- 2θ = 74.5°, intensity 10
- 2θ = 85.2°, intensity 13

Cell and atoms:
a b c (Å): 5.0931 5.0931 5.0931
angles (deg): 60.00 60.00 60.00
Fractional positions:
Na1 0.2500 0.2500 0.2500
Na2 0.7500 0.7500 0.7500
Ti1 0.0000 0.0000 0.0000
Ag1 0.5000 0.5000 0.5000

=====

Record 3
Diffraction record for AcNd6SmHo2. The X-ray diffraction stick pattern is calculated, not measured: it uses a structure optimized by DFT (PBE) and copper Kα.
Intensities are scaled so that the largest is 100.

Main lines, in order of rising 2θ (2θ from 15° to 90°):
- 2θ = 27.4°, intensity 37
- 2θ = 27.6°, intensity 68
- 2θ = 29.6°, intensity 76
- 2θ = 29.8°, intensity 72
- 2θ = 30.1°, intensity 100
- 2θ = 30.4°, intensity 61
- 2θ = 30.7°, intensity 58
- 2θ = 31.5°, intensity 53
- 2θ = 33.0°, intensity 56
- 2θ = 52.4°, intensity 29

Cell and atoms:
a b c (Å): 9.0630 9.0630 9.8290
angles (deg): 93.22 93.22 117.34
Fractional positions:
Ac1 0.0301 0.9699 0.7500
Ac2 0.9699 0.0301 0.2500
Nd1 0.0121 0.5541 0.6808
Nd2 0.1174 0.7524 0.0545
Nd3 0.2476 0.8826 0.4455
Nd4 0.2932 0.5107 0.8810
Nd5 0.4459 0.9879 0.8192
Nd6 0.4893 0.7068 0.6190
Nd7 0.5107 0.2932 0.3810
Nd8 0.5541 0.0121 0.1808
Nd9 0.7068 0.4893 0.1190
Nd10 0.7524 0.1174 0.5545
Nd11 0.8826 0.2476 0.9455
Nd12 0.9879 0.4459 0.3192
Sm1 0.4100 0.5900 0.2500
Sm2 0.5900 0.4100 0.7500
Ho1 0.2018 0.3086 0.5477
Ho2 0.3086 0.2018 0.0477
Ho3 0.6914 0.7982 0.9523
Ho4 0.7982 0.6914 0.4523

=====

Record 4
Diffraction record for Pm2Ho3Zn2. The X-ray diffraction stick pattern is calculated, not measured: it uses a structure optimized by DFT (PBE) and copper Kα.
Intensities are scaled so that the largest is 100.

Main lines, in order of rising 2θ (2θ from 15° to 90°):
- 2θ = 26.1°, intensity 27
- 2θ = 29.1°, intensity 62
- 2θ = 30.0°, intensity 100
- 2θ = 32.7°, intensity 32
- 2θ = 33.1°, intensity 31
- 2θ = 35.1°, intensity 23
- 2θ = 35.4°, intensity 62
- 2θ = 37.9°, intensity 24
- 2θ = 38.1°, intensity 49
- 2θ = 60.3°, intensity 22

Cell and atoms:
a b c (Å): 6.2129 6.2129 8.1165
angles (deg): 114.87 114.87 44.72
Fractional positions:
Pm1 0.1360 0.1360 0.2918
Pm2 0.8640 0.8640 0.7082
Ho1 0.3657 0.3657 0.0372
Ho2 0.5000 0.5000 0.5000
Ho3 0.6343 0.6343 0.9628
Zn1 0.1443 0.1443 0.6902
Zn2 0.8557 0.8557 0.3098

=====

Record 5
Diffraction record for Li2BF4. The X-ray diffraction stick pattern is calculated, not measured: it uses a structure optimized by DFT (PBE) and copper Kα.
Intensities are scaled so that the largest is 100.

Main lines, in order of rising 2θ (2θ from 15° to 90°):
- 2θ = 21.0°, intensity 100
- 2θ = 24.6°, intensity 9
- 2θ = 34.3°, intensity 53
- 2θ = 41.2°, intensity 25
- 2θ = 54.1°, intensity 18
- 2θ = 55.2°, intensity 8
- 2θ = 56.4°, intensity 10
- 2θ = 56.9°, intensity 5
- 2θ = 60.9°, intensity 5
- 2θ = 85.8°, intensity 4

Cell and atoms:
a b c (Å): 5.2358 5.2358 5.2358
angles (deg): 121.47 121.47 87.48
Fractional positions:
Li1 0.2500 0.7500 0.5000
Li2 0.7500 0.2500 0.5000
B1 0.0000 0.0000 0.0000
F1 0.0495 0.7284 0.0000
F2 0.2716 0.2716 0.3210
F3 0.7284 0.0495 0.0000
F4 0.9505 0.9505 0.6790

=====

Record 6
Diffraction record for TlCu2Cl4. The X-ray diffraction stick pattern is calculated, not measured: it uses a structure optimized by DFT (PBE) and copper Kα.
Intensities are scaled so that the largest is 100.

Main lines, in order of rising 2θ (2θ from 15° to 90°):
- 2θ = 16.6°, intensity 40
- 2θ = 20.5°, intensity 57
- 2θ = 23.9°, intensity 14
- 2θ = 26.5°, intensity 100
- 2θ = 29.3°, intensity 24
- 2θ = 39.7°, intensity 20
- 2θ = 41.7°, intensity 40
- 2θ = 43.7°, intensity 23
- 2θ = 48.3°, intensity 16
- 2θ = 56.0°, intensity 24

Cell and atoms:
a b c (Å): 5.3258 5.3258 7.4387
angles (deg): 90.00 90.00 90.00
Fractional positions:
Tl1 0.0000 0.0000 0.0000
Cu1 0.0000 0.5000 0.5000
Cu2 0.5000 0.0000 0.5000
Cl1 0.2590 0.2590 0.3215
Cl2 0.2590 0.7410 0.6785
Cl3 0.7410 0.2590 0.6785
Cl4 0.7410 0.7410 0.3215